(1)
AcYTl2Ag2: computed powder diffraction line list (Cu Ka), based on a structure optimized by DFT (GGA-PBE).

Top 10 peaks for 5° ≤ 2θ ≤ 70°, in order of falling intensity:
31.3°, intensity 100
36.3°, intensity 84
23.8°, intensity 33
48.7°, intensity 30
62.2°, intensity 28
61.3°, intensity 22
51.4°, intensity 17
65.3°, intensity 15
35.2°, intensity 8
47.6°, intensity 8

```
AcYTl2Ag2
1.0
4.952 0.000 0.000
-2.476 4.289 0.000
0.000 0.000 7.647
Ac Y Tl Ag
1 1 2 2
direct
0.000 0.000 0.000
0.000 0.000 0.500
0.333 0.667 0.278
0.667 0.333 0.722
0.333 0.667 0.706
0.667 0.333 0.294
```

(2)
AcPmGdSi: computed powder diffraction line list (Cu Ka), based on a structure optimized by DFT (GGA-PBE).

Top 9 peaks for 5° ≤ 2θ ≤ 70°, in order of falling intensity:
32.9°, intensity 100
58.8°, intensity 39
20.0°, intensity 27
47.3°, intensity 18
38.8°, intensity 16
69.1°, intensity 12
51.8°, intensity 7
62.8°, intensity 5
23.1°, intensity 1

```
AcPmGdSi
1.0
0.000 3.846 3.846
3.846 0.000 3.846
3.846 3.846 0.000
Ac Pm Gd Si
1 1 1 1
direct
0.000 0.000 0.000
0.250 0.250 0.250
0.750 0.750 0.750
0.500 0.500 0.500
```

(3)
Rb2MgZnBr6: computed powder diffraction line list (Cu Ka), based on a structure optimized by DFT (GGA-PBE).

Top 10 peaks for 5° ≤ 2θ ≤ 70°, in order of falling intensity:
28.9°, intensity 100
33.4°, intensity 91
48.0°, intensity 64
57.0°, intensity 42
59.8°, intensity 22
23.5°, intensity 9
16.5°, intensity 7
14.3°, intensity 4
41.3°, intensity 4
37.5°, intensity 4

```
Rb2MgZnBr6
1.0
-3.790 3.790 5.355
3.790 -3.790 5.355
3.790 3.790 -5.355
Rb Mg Zn Br
2 1 1 6
direct
0.250 0.750 0.500
0.750 0.250 0.500
0.000 0.000 0.000
0.500 0.500 0.000
0.252 0.252 0.504
0.252 0.748 0.000
0.253 0.253 0.000
0.747 0.747 0.000
0.748 0.252 0.000
0.748 0.748 0.496
```